1.
For Tl2PbI3Br, a PBE-relaxed structure gives the computed powder X-ray diffraction pattern in this record (CuKα).
No peak broadening, texture or thermal motion is included.

abc: 5.940 6.317 17.631
angles: 90.00 90.00 90.00
Element x y z (fractional)
Tl 0.000 0.000 0.134
Tl 0.000 0.000 0.866
Tl 0.500 0.500 0.366
Tl 0.500 0.500 0.634
Pb 0.000 0.000 0.500
Pb 0.500 0.500 0.000
I 0.000 0.000 0.319
I 0.000 0.000 0.681
I 0.000 0.500 0.500
I 0.500 0.000 0.000
I 0.500 0.500 0.181
I 0.500 0.500 0.819
Br 0.000 0.500 0.000
Br 0.500 0.000 0.500

Principal peaks in the range 2θ = 10–90°, low angle first:
8.816 Å, 10.0 deg, I = 24
4.327 Å, 20.5 deg, I = 100
3.158 Å, 28.3 deg, I = 63
3.084 Å, 29.0 deg, I = 72
3.032 Å, 29.5 deg, I = 42
2.970 Å, 30.1 deg, I = 57
2.939 Å, 30.4 deg, I = 27
2.187 Å, 41.3 deg, I = 34
2.164 Å, 41.7 deg, I = 44
2.138 Å, 42.3 deg, I = 24

2.
For Pd2I6Br, a PBE-relaxed structure gives the computed powder X-ray diffraction pattern in this record (CuKα).
No peak broadening, texture or thermal motion is included.

abc: 4.808 8.583 10.719
angles: 74.19 79.07 89.29
Element x y z (fractional)
Pd 0.075 0.426 0.174
Pd 0.925 0.574 0.826
I 0.032 0.421 0.643
I 0.175 0.324 0.957
I 0.386 0.198 0.290
I 0.614 0.802 0.710
I 0.825 0.676 0.043
I 0.968 0.579 0.357
Br 0.000 0.000 0.500

Principal peaks in the range 2θ = 10–90°, low angle first:
8.251 Å, 10.7 deg, I = 96
7.481 Å, 11.8 deg, I = 63
4.717 Å, 18.8 deg, I = 41
4.251 Å, 20.9 deg, I = 28
4.024 Å, 22.1 deg, I = 100
3.042 Å, 29.4 deg, I = 29
2.594 Å, 34.6 deg, I = 30
2.482 Å, 36.2 deg, I = 27
2.183 Å, 41.4 deg, I = 28
2.178 Å, 41.5 deg, I = 27

3.
For PdIBr6, a PBE-relaxed structure gives the computed powder X-ray diffraction pattern in this record (CuKα).
No peak broadening, texture or thermal motion is included.

abc: 6.944 11.855 7.008
angles: 90.00 105.08 90.00
Element x y z (fractional)
Pd 0.000 0.000 0.000
Pd 0.500 0.500 0.000
I 0.000 0.500 0.500
I 0.500 0.000 0.500
Br 0.207 0.148 0.202
Br 0.207 0.852 0.202
Br 0.249 0.000 0.745
Br 0.251 0.500 0.255
Br 0.293 0.352 0.798
Br 0.293 0.648 0.798
Br 0.707 0.352 0.202
Br 0.707 0.648 0.202
Br 0.749 0.500 0.745
Br 0.751 0.000 0.255
Br 0.793 0.148 0.798
Br 0.793 0.852 0.798

Principal peaks in the range 2θ = 10–90°, low angle first:
5.927 Å, 14.9 deg, I = 64
5.017 Å, 17.7 deg, I = 66
3.995 Å, 22.3 deg, I = 29
3.217 Å, 27.7 deg, I = 18
2.892 Å, 30.9 deg, I = 100
2.769 Å, 32.3 deg, I = 54
2.007 Å, 45.2 deg, I = 36
1.994 Å, 45.5 deg, I = 45
1.976 Å, 45.9 deg, I = 16
1.608 Å, 57.3 deg, I = 16

4.
For PdI2Br5, a PBE-relaxed structure gives the computed powder X-ray diffraction pattern in this record (CuKα).
No peak broadening, texture or thermal motion is included.

abc: 6.785 8.189 8.816
angles: 83.52 84.24 87.13
Element x y z (fractional)
Pd 0.000 0.000 0.000
I 0.247 0.487 0.043
I 0.976 0.992 0.502
Br 0.092 0.844 0.775
Br 0.175 0.781 0.166
Br 0.326 0.190 0.944
Br 0.790 0.199 0.857
Br 0.847 0.127 0.231

Principal peaks in the range 2θ = 10–90°, low angle first:
8.720 Å, 10.1 deg, I = 96
8.130 Å, 10.9 deg, I = 80
6.746 Å, 13.1 deg, I = 100
5.294 Å, 16.7 deg, I = 94
5.101 Å, 17.4 deg, I = 20
3.319 Å, 26.9 deg, I = 20
3.160 Å, 28.2 deg, I = 39
3.148 Å, 28.3 deg, I = 26
2.647 Å, 33.9 deg, I = 27
2.569 Å, 34.9 deg, I = 20